1.
Simulated PXRD pattern
Compound: BaAl5AgPt
Radiation: Cu Kα X-rays
Structure: DFT lattice parameters and positions (PBE)
Kinematic intensities with the Lorentz-polarization factor, no thermal factor.

Cell lengths 6.705, 6.705, 6.705 Å; angles 143.09, 112.79, 79.23 degrees
Fractional coordinates of all 8 atoms:
Ba1 0.000 0.000 0.000
Al1 0.165 0.346 0.819
Al2 0.455 0.649 0.806
Al3 0.501 0.001 0.500
Al4 0.527 0.346 0.181
Al5 0.843 0.649 0.194
Ag1 0.742 0.242 0.500
Pt1 0.268 0.768 0.500

Most intense lines, 5° ≤ 2θ ≤ 70°, in order of falling intensity:
| Position (°2θ) | Rel. int. |
| --- | --- |
| 29.78 | 1000 |
| 42.63 | 514 |
| 23.98 | 419 |
| 45.95 | 379 |
| 33.22 | 286 |
| 61.85 | 207 |
| 28.58 | 200 |
| 17.17 | 195 |

2.
Simulated PXRD pattern
Compound: KOsSeO
Radiation: Cu Kα X-rays
Structure: DFT lattice parameters and positions (PBE)
Kinematic intensities with the Lorentz-polarization factor, no thermal factor.

Cell lengths 4.192, 7.106, 6.520 Å; angles 90.00, 90.00, 90.00 degrees
Fractional coordinates of all 8 atoms:
K1 0.000 0.194 0.000
K2 0.000 0.806 0.500
Os1 0.500 0.416 0.410
Os2 0.500 0.584 0.910
Se1 0.000 0.272 0.499
Se2 0.000 0.728 0.999
O1 0.500 0.389 0.117
O2 0.500 0.611 0.617

Most intense lines, 5° ≤ 2θ ≤ 70°, in order of falling intensity:
| Position (°2θ) | Rel. int. |
| --- | --- |
| 12.46 | 1000 |
| 24.66 | 458 |
| 18.47 | 443 |
| 28.61 | 392 |
| 27.36 | 357 |
| 46.17 | 285 |
| 33.05 | 282 |
| 37.16 | 230 |

3.
Simulated PXRD pattern
Compound: PuHgAu
Radiation: Cu Kα X-rays
Structure: DFT lattice parameters and positions (PBE)
Kinematic intensities with the Lorentz-polarization factor, no thermal factor.

Cell lengths 5.921, 5.921, 5.921 Å; angles 129.89, 116.75, 84.76 degrees
Fractional coordinates of all 6 atoms:
Pu1 0.247 0.000 0.247
Pu2 0.753 0.000 0.753
Hg1 0.331 0.331 0.000
Hg2 0.669 0.669 0.000
Au1 0.164 0.664 0.500
Au2 0.836 0.336 0.500

Most intense lines, 5° ≤ 2θ ≤ 70°, in order of falling intensity:
| Position (°2θ) | Rel. int. |
| --- | --- |
| 35.50 | 1000 |
| 35.61 | 705 |
| 35.81 | 348 |
| 64.19 | 255 |
| 51.28 | 240 |
| 63.83 | 193 |
| 63.95 | 124 |
| 51.09 | 120 |

4.
Simulated PXRD pattern
Compound: Tb3Si5
Radiation: Cu Kα X-rays
Structure: DFT lattice parameters and positions (PBE)
Kinematic intensities with the Lorentz-polarization factor, no thermal factor.

Cell lengths 6.589, 6.589, 4.211 Å; angles 90.00, 90.00, 120.00 degrees
Fractional coordinates of all 8 atoms:
Tb1 0.000 0.353 0.000
Tb2 0.353 0.000 0.000
Tb3 0.647 0.647 0.000
Si1 0.000 0.730 0.500
Si2 0.270 0.270 0.500
Si3 0.333 0.667 0.500
Si4 0.667 0.333 0.500
Si5 0.730 0.000 0.500

Most intense lines, 5° ≤ 2θ ≤ 70°, in order of falling intensity:
| Position (°2θ) | Rel. int. |
| --- | --- |
| 34.57 | 1000 |
| 27.06 | 525 |
| 47.82 | 219 |
| 21.10 | 208 |
| 51.51 | 184 |
| 66.21 | 165 |
| 60.33 | 164 |
| 52.81 | 129 |